For BaCrSeF2, a GGA+U-relaxed structure gives the simulated powder diffraction line list in this record (λ = 1.5418 Å (Cu Kα)).
Intensities are scaled so that the largest is 1000.

Structure:
```
data_BaCrSeF2
_cell_length_a 4.516
_cell_length_b 4.516
_cell_length_c 5.289
_cell_angle_alpha 90.00
_cell_angle_beta 90.00
_cell_angle_gamma 90.00
_symmetry_space_group_name_H-M 'P 4 m m'
_symmetry_Int_Tables_number 99
_symmetry_space_group_name_Hall 'P 4 -2'
loop_
_atom_site_label
_atom_site_type_symbol
_atom_site_fract_x
_atom_site_fract_y
_atom_site_fract_z
_atom_site_occupancy
Ba1 Ba 0.000 0.000 0.000 1
Cr1 Cr 0.500 0.500 0.352 1
Se1 Se 0.500 0.500 0.840 1
F1 F 0.000 0.500 0.314 1
```

The 8 most intense peaks (2θ from 5° to 70°), sorted by position:
2theta  I (rel.)  index
16.76  529  0 0 1
25.94  730  1 0 1
27.94  1000  1 1 0
32.76  741  1 1 1
39.49  741  1 0 2
39.93  689  2 0 0
48.24  261  2 1 1
57.41  480  2 1 2